Simulated powder diffractogram
Compound: Te4Pd4Rh
Radiation: CuKα
Structure: the PBE geometry in Alexandria
Neutral-atom scattering factors, no anomalous dispersion.

Largest 10 diffraction maxima, sorted by position, 2θ from 10° to 90°:
- hkl 1 1 2, 3.478 Å, 2θ 25.61, intensity 100
- hkl 2 1 1, 2.577 Å, 2θ 34.81, intensity 11
- hkl 2 0 4, 2.156 Å, 2θ 41.90, intensity 75
- hkl 2 2 0, 2.081 Å, 2θ 43.49, intensity 35
- hkl 1 1 6, 1.883 Å, 2θ 48.33, intensity 15
- hkl 3 1 2, 1.786 Å, 2θ 51.16, intensity 27
- hkl 4 0 0, 1.471 Å, 2θ 63.20, intensity 11
- hkl 3 1 6, 1.396 Å, 2θ 67.03, intensity 10
- hkl 2 2 8, 1.260 Å, 2θ 75.43, intensity 10
- hkl 4 2 4, 1.215 Å, 2θ 78.75, intensity 20

Crystal structure
a = 5.885 Å, b = 5.885 Å, c = 12.670 Å
α = 90.00°, β = 90.00°, γ = 90.00°
Space group I-42m (No. 121)
Asymmetric unit:
Te (0.230, 0.230, 0.126) [8 per cell]
Pd (0.000, 0.000, 0.274) [4 per cell]
Pd (0.000, 0.500, 0.000) [4 per cell]
Rh (0.000, 0.000, 0.500) [2 per cell]

***

Simulated powder diffractogram
Compound: Te8Pd3Rh
Radiation: CuKα
Structure: the PBE geometry in Alexandria
Neutral-atom scattering factors, no anomalous dispersion.

Largest 10 diffraction maxima, sorted by position, 2θ from 10° to 90°:
- hkl 2 0 -1, 5.233 Å, 2θ 16.94, intensity 11
- hkl 2 0 1, 2.927 Å, 2θ 30.54, intensity 100
- hkl 4 2 -1, 2.102 Å, 2θ 43.03, intensity 35
- hkl 0 4 0, 2.039 Å, 2θ 44.44, intensity 38
- hkl 2 4 1, 1.673 Å, 2θ 54.88, intensity 19
- hkl 6 0 -5, 1.564 Å, 2θ 59.07, intensity 13
- hkl 4 0 2, 1.464 Å, 2θ 63.57, intensity 11
- hkl 2 2 4, 1.293 Å, 2θ 73.18, intensity 15
- hkl 4 4 2, 1.189 Å, 2θ 80.83, intensity 8
- hkl 8 2 -7, 1.101 Å, 2θ 88.91, intensity 7

Crystal structure
a = 10.466 Å, b = 8.151 Å, c = 8.788 Å
α = 90.00°, β = 126.48°, γ = 90.00°
Space group C2/m (No. 12)
Asymmetric unit:
Te (0.050, 0.244, 0.339) [8 per cell]
Te (0.204, 0.000, 0.168) [4 per cell]
Te (0.210, 0.500, 0.173) [4 per cell]
Pd (0.000, 0.500, 0.500) [2 per cell]
Pd (0.250, 0.250, 0.000) [4 per cell]
Rh (0.000, 0.000, 0.500) [2 per cell]

***

Repeat the second record exactly.
Simulated powder diffractogram
Compound: Te8Pd3Rh
Radiation: CuKα
Structure: the PBE geometry in Alexandria
Neutral-atom scattering factors, no anomalous dispersion.

Largest 10 diffraction maxima, sorted by position, 2θ from 10° to 90°:
- hkl 2 0 -1, 5.233 Å, 2θ 16.94, intensity 11
- hkl 2 0 1, 2.927 Å, 2θ 30.54, intensity 100
- hkl 4 2 -1, 2.102 Å, 2θ 43.03, intensity 35
- hkl 0 4 0, 2.039 Å, 2θ 44.44, intensity 38
- hkl 2 4 1, 1.673 Å, 2θ 54.88, intensity 19
- hkl 6 0 -5, 1.564 Å, 2θ 59.07, intensity 13
- hkl 4 0 2, 1.464 Å, 2θ 63.57, intensity 11
- hkl 2 2 4, 1.293 Å, 2θ 73.18, intensity 15
- hkl 4 4 2, 1.189 Å, 2θ 80.83, intensity 8
- hkl 8 2 -7, 1.101 Å, 2θ 88.91, intensity 7

Crystal structure
a = 10.466 Å, b = 8.151 Å, c = 8.788 Å
α = 90.00°, β = 126.48°, γ = 90.00°
Space group C2/m (No. 12)
Asymmetric unit:
Te (0.050, 0.244, 0.339) [8 per cell]
Te (0.204, 0.000, 0.168) [4 per cell]
Te (0.210, 0.500, 0.173) [4 per cell]
Pd (0.000, 0.500, 0.500) [2 per cell]
Pd (0.250, 0.250, 0.000) [4 per cell]
Rh (0.000, 0.000, 0.500) [2 per cell]